For Cs2NdCo3F12, DFT lattice parameters and positions (PBE+U) gives the calculated PXRD pattern in this record (Cu Kα).
Kinematic intensities with the Lorentz-polarization factor, no thermal factor.

Atomic structure:
Cell: 7.5920 7.5920 7.5920 Å, 60.27 60.27 60.27°
Fractional coordinates of all 18 atoms:
1 Cs 0.1119 0.1119 0.1119
2 Cs 0.8881 0.8881 0.8881
3 Nd 0.5000 0.5000 0.5000
4 Co 0.0000 0.5000 0.5000
5 Co 0.5000 0.0000 0.5000
6 Co 0.5000 0.5000 0.0000
7 F 0.1319 0.5977 0.5977
8 F 0.2046 0.2046 0.5865
9 F 0.2046 0.5865 0.2046
10 F 0.4023 0.4023 0.8681
11 F 0.4023 0.8681 0.4023
12 F 0.4135 0.7954 0.7954
13 F 0.5865 0.2046 0.2046
14 F 0.5977 0.1319 0.5977
15 F 0.5977 0.5977 0.1319
16 F 0.7954 0.4135 0.7954
17 F 0.7954 0.7954 0.4135
18 F 0.8681 0.4023 0.4023

Top 10 peaks for 10 to 90 degrees two-theta, sorted by position:
2θ 23.36, rel. 47; 2θ 27.48, rel. 100; 2θ 27.57, rel. 58; 2θ 28.70, rel. 35; 2θ 36.42, rel. 20; 2θ 43.68, rel. 46; 2θ 47.72, rel. 37; 2θ 47.93, rel. 22; 2θ 55.99, rel. 22; 2θ 66.68, rel. 22